Diffraction record for UCuWO6. The X-ray diffraction stick pattern is computed, not measured: it uses a crystal structure in Alexandria, relaxed with PBE+U and Cu Kα X-rays.

Crystal structure
```
UCuWO6
1.0
5.508 0.000 0.000
-2.754 4.770 0.000
0.000 0.000 9.077
U Cu W O
2 2 2 12
Cartesian
0.000 3.180 2.269 U
2.754 1.590 6.808 U
0.000 0.000 0.000 Cu
0.000 0.000 4.538 Cu
0.000 3.180 6.808 W
2.754 1.590 2.269 W
-0.869 1.769 5.750 O
-1.657 3.133 7.865 O
0.869 1.769 7.865 O
-0.787 4.639 5.750 O
1.967 0.132 1.212 O
1.097 1.637 3.327 O
1.657 3.133 5.750 O
0.787 4.639 7.865 O
3.542 0.132 3.327 O
1.885 3.001 1.212 O
4.411 1.637 1.212 O
3.624 3.001 3.327 O
```

Peak list (10 most intense, 2θ = 5–70°, in order of rising 2θ)
2θ/deg  d/Å  I (rel.)
18.60  4.770  33
19.56  4.538  58
27.12  3.288  100
32.51  2.754  77
38.22  2.355  64
42.83  2.111  29
52.23  1.751  59
54.78  1.676  29
58.00  1.590  24
61.82  1.501  17